# 1
# TiAlCr
Simulated powder XRD pattern, λ = 1.5418 Å (Cu Kα). Input: a structure optimized by DFT (PBE).
Kinematic intensities with the Lorentz-polarization factor, no thermal factor.

Peak list (8 most intense, 2θ = 10–90°, by angle)
2θ (°)  I_rel
10.7  27
38.8  100
42.4  24
42.5  72
43.4  71
43.6  34
43.8  19
72.0  24

Atomic structure:
a b c (Å): 8.2690 4.9600 4.9600
angles (deg): 60.29 90.00 90.00
Sites, in units of the cell vectors:
Ti 0.1786 0.0000 0.0000
Ti 0.3073 0.6636 0.6636
Ti 0.6927 0.6636 0.6636
Ti 0.8214 0.0000 0.0000
Al 0.2426 0.3212 0.3212
Al 0.5000 0.1610 0.6712
Al 0.5000 0.6712 0.1610
Al 0.7574 0.3212 0.3212
Cr 0.0000 0.5045 0.5045
Cr 0.0000 0.5085 0.9685
Cr 0.0000 0.9685 0.5085
Cr 0.5000 0.1609 0.1609

# 2
# TmAl6Cr6
Simulated powder XRD pattern, λ = 1.5418 Å (Cu Kα). Input: a structure optimized by DFT (PBE).
Kinematic intensities with the Lorentz-polarization factor, no thermal factor.

Peak list (8 most intense, 2θ = 10–90°, by angle)
2θ (°)  I_rel
14.3  52
20.3  28
28.8  64
28.9  27
41.0  35
41.2  57
41.4  100
41.6  27

Atomic structure:
a b c (Å): 6.6801 6.6801 6.6801
angles (deg): 135.58 98.89 97.54
Sites, in units of the cell vectors:
Tm 0.0000 0.0000 0.0000
Al 0.1929 0.5000 0.6929
Al 0.3323 0.3323 0.0000
Al 0.3458 0.0000 0.3458
Al 0.6542 0.0000 0.6542
Al 0.6677 0.6677 0.0000
Al 0.8071 0.5000 0.3071
Cr 0.0000 0.0000 0.5000
Cr 0.0000 0.5000 0.0000
Cr 0.2392 0.7392 0.5000
Cr 0.5000 0.0000 0.0000
Cr 0.5000 0.5000 0.5000
Cr 0.7608 0.2608 0.5000

# 3
# TmAl8Cr4
Simulated powder XRD pattern, λ = 1.5418 Å (Cu Kα). Input: a structure optimized by DFT (PBE).
Kinematic intensities with the Lorentz-polarization factor, no thermal factor.

Peak list (8 most intense, 2θ = 10–90°, by angle)
2θ (°)  I_rel
14.1  68
20.2  60
28.4  43
28.6  75
35.1  57
40.6  76
40.7  91
41.1  100

Atomic structure:
a b c (Å): 6.7714 6.7714 6.7714
angles (deg): 98.00 98.00 136.20
Sites, in units of the cell vectors:
Tm 0.0000 0.0000 0.0000
Al 0.0000 0.3356 0.3356
Al 0.0000 0.6644 0.6644
Al 0.2788 0.5000 0.7788
Al 0.3356 0.0000 0.3356
Al 0.5000 0.2788 0.7788
Al 0.5000 0.7212 0.2212
Al 0.6644 0.0000 0.6644
Al 0.7212 0.5000 0.2212
Cr 0.0000 0.0000 0.5000
Cr 0.0000 0.5000 0.0000
Cr 0.5000 0.0000 0.0000
Cr 0.5000 0.5000 0.5000

# 4
# UAl20Cr2
Simulated powder XRD pattern, λ = 1.5418 Å (Cu Kα). Input: a structure optimized by DFT (PBE).
Kinematic intensities with the Lorentz-polarization factor, no thermal factor.

Peak list (8 most intense, 2θ = 10–90°, by angle)
2θ (°)  I_rel
10.5  65
17.1  66
20.1  36
34.7  36
36.3  100
38.9  52
40.4  42
40.9  30

Atomic structure:
a b c (Å): 10.3443 10.3443 10.3443
angles (deg): 60.00 60.00 60.00
Sites, in units of the cell vectors:
U 0.1250 0.1250 0.1250
U 0.8750 0.8750 0.8750
Al 0.0000 0.5000 0.5000
Al 0.0558 0.3212 0.3212
Al 0.0558 0.3212 0.8017
Al 0.0558 0.8017 0.3212
Al 0.1983 0.6788 0.6788
Al 0.1983 0.6788 0.9442
Al 0.1983 0.9442 0.6788
Al 0.2376 0.2376 0.5124
Al 0.2376 0.5124 0.2376
Al 0.2376 0.5124 0.5124
Al 0.3212 0.0558 0.3212
Al 0.3212 0.0558 0.8017
Al 0.3212 0.3212 0.0558
Al 0.3212 0.3212 0.8017
Al 0.3212 0.8017 0.0558
Al 0.3212 0.8017 0.3212
Al 0.4876 0.4876 0.7624
Al 0.4876 0.7624 0.4876
Al 0.4876 0.7624 0.7624
Al 0.5000 0.0000 0.5000
Al 0.5000 0.5000 0.0000
Al 0.5000 0.5000 0.5000
Al 0.5124 0.2376 0.2376
Al 0.5124 0.2376 0.5124
Al 0.5124 0.5124 0.2376
Al 0.6788 0.1983 0.6788
Al 0.6788 0.1983 0.9442
Al 0.6788 0.6788 0.1983
Al 0.6788 0.6788 0.9442
Al 0.6788 0.9442 0.1983
Al 0.6788 0.9442 0.6788
Al 0.7624 0.4876 0.4876
Al 0.7624 0.4876 0.7624
Al 0.7624 0.7624 0.4876
Al 0.8017 0.0558 0.3212
Al 0.8017 0.3212 0.0558
Al 0.8017 0.3212 0.3212
Al 0.9442 0.1983 0.6788
Al 0.9442 0.6788 0.1983
Al 0.9442 0.6788 0.6788
Cr 0.0000 0.0000 0.0000
Cr 0.0000 0.0000 0.5000
Cr 0.0000 0.5000 0.0000
Cr 0.5000 0.0000 0.0000

# 5
# UAl8Cr4
Simulated powder XRD pattern, λ = 1.5418 Å (Cu Kα). Input: a structure optimized by DFT (PBE).
Kinematic intensities with the Lorentz-polarization factor, no thermal factor.

Peak list (8 most intense, 2θ = 10–90°, by angle)
2θ (°)  I_rel
14.1  98
20.4  84
28.5  51
28.7  100
35.3  63
40.7  65
40.9  99
41.5  94

Atomic structure:
a b c (Å): 6.7525 6.7525 6.7525
angles (deg): 97.87 97.87 136.56
Sites, in units of the cell vectors:
U 0.0000 0.0000 0.0000
Al 0.0000 0.3419 0.3419
Al 0.0000 0.6581 0.6581
Al 0.2832 0.5000 0.7832
Al 0.3419 0.0000 0.3419
Al 0.5000 0.2832 0.7832
Al 0.5000 0.7168 0.2168
Al 0.6581 0.0000 0.6581
Al 0.7168 0.5000 0.2168
Cr 0.0000 0.0000 0.5000
Cr 0.0000 0.5000 0.0000
Cr 0.5000 0.0000 0.0000
Cr 0.5000 0.5000 0.5000

# 6
# UAl20Cr2
Simulated powder XRD pattern, λ = 1.5418 Å (Cu Kα). Input: a structure optimized by DFT (PBE).
Kinematic intensities with the Lorentz-polarization factor, no thermal factor.

Peak list (8 most intense, 2θ = 10–90°, by angle)
2θ (°)  I_rel
17.5  83
20.5  100
30.5  40
35.4  45
37.0  87
39.7  64
41.2  71
54.2  41

Atomic structure:
a b c (Å): 10.1532 10.1532 10.1532
angles (deg): 60.00 60.00 60.00
Sites, in units of the cell vectors:
U 0.1250 0.1250 0.1250
U 0.8750 0.8750 0.8750
Al 0.0000 0.0000 0.0000
Al 0.0000 0.0000 0.5000
Al 0.0000 0.5000 0.0000
Al 0.0569 0.3252 0.3252
Al 0.0569 0.3252 0.7928
Al 0.0569 0.7928 0.3252
Al 0.2072 0.6748 0.6748
Al 0.2072 0.6748 0.9431
Al 0.2072 0.9431 0.6748
Al 0.2386 0.2386 0.5114
Al 0.2386 0.5114 0.2386
Al 0.2386 0.5114 0.5114
Al 0.3252 0.0569 0.3252
Al 0.3252 0.0569 0.7928
Al 0.3252 0.3252 0.0569
Al 0.3252 0.3252 0.7928
Al 0.3252 0.7928 0.0569
Al 0.3252 0.7928 0.3252
Al 0.4886 0.4886 0.7614
Al 0.4886 0.7614 0.4886
Al 0.4886 0.7614 0.7614
Al 0.5000 0.0000 0.0000
Al 0.5114 0.2386 0.2386
Al 0.5114 0.2386 0.5114
Al 0.5114 0.5114 0.2386
Al 0.6748 0.2072 0.6748
Al 0.6748 0.2072 0.9431
Al 0.6748 0.6748 0.2072
Al 0.6748 0.6748 0.9431
Al 0.6748 0.9431 0.2072
Al 0.6748 0.9431 0.6748
Al 0.7614 0.4886 0.4886
Al 0.7614 0.4886 0.7614
Al 0.7614 0.7614 0.4886
Al 0.7928 0.0569 0.3252
Al 0.7928 0.3252 0.0569
Al 0.7928 0.3252 0.3252
Al 0.9431 0.2072 0.6748
Al 0.9431 0.6748 0.2072
Al 0.9431 0.6748 0.6748
Cr 0.0000 0.5000 0.5000
Cr 0.5000 0.0000 0.5000
Cr 0.5000 0.5000 0.0000
Cr 0.5000 0.5000 0.5000